Diffraction record for CoF3. The XRD peak list is theoretical, not measured: it uses a cell relaxed with PBE+U and a wavelength of 1.5418 Å.
Lines closer than 0.1° are merged.

Top 10 peaks for 15 to 90 degrees two-theta, by angle:
- 23.26°, d 3.825, rel. 100
- 32.70°, d 2.739, rel. 11
- 33.55°, d 2.671, rel. 10
- 47.55°, d 1.912, rel. 27
- 53.00°, d 1.728, rel. 18
- 54.15°, d 1.694, rel. 17
- 68.52°, d 1.369, rel. 7
- 70.51°, d 1.336, rel. 7
- 73.44°, d 1.289, rel. 6
- 74.41°, d 1.275, rel. 6

a = 3.827 Å, b = 3.827 Å, c = 3.827 Å
α = 91.40°, β = 91.40°, γ = 91.40°
Fractional coordinates of all 4 atoms:
Co  0.000  0.000  0.000
F  0.000  0.000  0.500
F  0.000  0.500  0.000
F  0.500  0.000  0.000